Structure and theoretical PXRD pattern of EuGa2 (a PBE-relaxed structure; Cu Kα (weighted mean of Kα1 and Kα2)).
Intensities are scaled so that the largest is 100.

Structural model:
Cell: 5.871 5.871 5.871 Å, 133.53 99.56 98.34°
Positions (direct):
Eu  0.296  0.046  0.250
Eu  0.704  0.954  0.750
Ga  0.098  0.661  0.437
Ga  0.275  0.339  0.937
Ga  0.725  0.661  0.063
Ga  0.902  0.339  0.563

Largest 12 diffraction maxima, in order of falling intensity, 2θ from 15° to 90°:
d = 2.740 Å, 32.68°, intensity 100; d = 2.754 Å, 32.52°, intensity 46; d = 2.240 Å, 40.26°, intensity 42; d = 2.697 Å, 33.22°, intensity 36; d = 2.316 Å, 38.89°, intensity 35; d = 2.401 Å, 37.46°, intensity 22; d = 1.451 Å, 64.16°, intensity 21; d = 1.757 Å, 52.05°, intensity 20; d = 1.406 Å, 66.48°, intensity 18; d = 1.711 Å, 53.57°, intensity 18; d = 3.966 Å, 22.42°, intensity 15; d = 1.667 Å, 55.10°, intensity 14